# 1
Diffraction record for AgBi2WO8. The X-ray powder pattern is calculated, not measured: it uses a structure optimized by DFT (PBE+U) and Cu Kα (weighted mean of Kα1 and Kα2).

Principal peaks in the range 10° ≤ 2θ ≤ 90°, most intense first:
| Position (°2θ) | I (rel.) |
| --- | --- |
| 28.7 | 1000 |
| 26.8 | 786 |
| 29.6 | 394 |
| 23.4 | 248 |
| 25.6 | 238 |
| 32.8 | 228 |
| 49.2 | 226 |
| 26.1 | 221 |

Atomic structure:
Cell: 7.6819 7.6819 7.5039 Å, 113.05 113.05 97.49°
Element x y z (fractional)
Ag 0.1209 0.1209 0.3988
Ag 0.8791 0.8791 0.6012
Bi 0.2629 0.2629 0.0092
Bi 0.3297 0.6703 0.5000
Bi 0.6703 0.3297 0.5000
Bi 0.7371 0.7371 0.9908
W 0.2462 0.7538 0.0000
W 0.7538 0.2462 0.0000
O 0.0210 0.5453 0.7444
O 0.0663 0.8226 0.1360
O 0.1774 0.9337 0.8640
O 0.2594 0.2594 0.7308
O 0.3144 0.5889 0.1505
O 0.3385 0.3385 0.3472
O 0.4111 0.6856 0.8495
O 0.4547 0.9790 0.2556
O 0.5453 0.0210 0.7444
O 0.5889 0.3144 0.1505
O 0.6615 0.6615 0.6528
O 0.6856 0.4111 0.8495
O 0.7406 0.7406 0.2692
O 0.8226 0.0663 0.1360
O 0.9337 0.1774 0.8640
O 0.9790 0.4547 0.2556


# 2
Diffraction record for CoAgC4O4. The X-ray powder pattern is calculated, not measured: it uses a structure optimized by DFT (PBE+U) and Cu Kα (weighted mean of Kα1 and Kα2).

Principal peaks in the range 10° ≤ 2θ ≤ 90°, most intense first:
| Position (°2θ) | I (rel.) |
| --- | --- |
| 17.2 | 1000 |
| 13.9 | 795 |
| 33.2 | 530 |
| 35.7 | 503 |
| 17.9 | 260 |
| 30.2 | 238 |
| 29.9 | 232 |
| 42.8 | 208 |

Atomic structure:
Cell: 10.7865 10.7865 6.4042 Å, 93.20 93.20 112.53°
Element x y z (fractional)
Co 0.2031 0.7969 0.0000
Co 0.2710 0.2710 0.7815
Co 0.7290 0.7290 0.2185
Co 0.7969 0.2031 0.0000
Ag 0.0274 0.1960 0.9055
Ag 0.1960 0.0274 0.9055
Ag 0.8040 0.9726 0.0945
Ag 0.9726 0.8040 0.0945
C 0.0983 0.7524 0.7603
C 0.1613 0.1613 0.5722
C 0.1630 0.6369 0.0987
C 0.2476 0.9017 0.2397
C 0.2702 0.4277 0.7106
C 0.3013 0.3013 0.0598
C 0.3631 0.8370 0.9013
C 0.4277 0.2702 0.7106
C 0.5723 0.7298 0.2894
C 0.6369 0.1630 0.0987
C 0.6987 0.6987 0.9402
C 0.7298 0.5723 0.2894
C 0.7524 0.0983 0.7603
C 0.8370 0.3631 0.9013
C 0.8387 0.8387 0.4278
C 0.9017 0.2476 0.2397
O 0.0399 0.7116 0.5963
O 0.1035 0.1035 0.4140
O 0.1425 0.5343 0.1666
O 0.2720 0.5295 0.6592
O 0.2884 0.9601 0.4037
O 0.3346 0.3346 0.2371
O 0.4657 0.8575 0.8334
O 0.4705 0.7280 0.3408
O 0.5295 0.2720 0.6592
O 0.5343 0.1425 0.1666
O 0.6654 0.6654 0.7629
O 0.7116 0.0399 0.5963
O 0.7280 0.4705 0.3408
O 0.8575 0.4657 0.8334
O 0.8965 0.8965 0.5860
O 0.9601 0.2884 0.4037